(1)
For HoNbRu, the GGA-PBE geometry in Alexandria gives the computed XRD peak list in this record (Cu Kα (λ = 1.5418 Å)).

Peak list (10 most intense, 10° ≤ 2θ ≤ 90°, by angle)
(1 0 2), d 2.731, 2θ = 32.8°, intensity 90; (1 4 0), d 2.472, 2θ = 36.3°, intensity 100; (2 0 0), d 2.347, 2θ = 38.3°, intensity 41; (0 5 1), d 2.198, 2θ = 41.1°, intensity 35; (0 3 3), d 1.939, 2θ = 46.9°, intensity 17; (2 5 1), d 1.605, 2θ = 57.4°, intensity 26; (1 5 3), d 1.526, 2θ = 60.7°, intensity 19; (2 3 3), d 1.495, 2θ = 62.1°, intensity 15; (3 4 0), d 1.378, 2θ = 68.0°, intensity 16; (1 1 5), d 1.284, 2θ = 73.8°, intensity 20

Structural model:
```
data_HoNbRu
_chemical_formula_sum 'Ho6 Nb6 Ru6'
_cell_length_a 4.6949
_cell_length_b 11.6264
_cell_length_c 6.7200
_cell_angle_alpha 90.00
_cell_angle_beta 90.00
_cell_angle_gamma 90.00
_symmetry_space_group_name_H-M 'A m m 2'
_symmetry_Int_Tables_number 38
loop_
_symmetry_equiv_pos_as_xyz
'x,y,z'
'-x,-y,z'
'-x,y,z'
'x,-y,z'
'x,y+1/2,z+1/2'
'-x,-y+1/2,z+1/2'
'-x,y+1/2,z+1/2'
'x,-y+1/2,z+1/2'
loop_
_atom_site_label
_atom_site_type_symbol
_atom_site_fract_x
_atom_site_fract_y
_atom_site_fract_z
Ho1 Ho 0.0000 0.0000 0.0000
Ho2 Ho 0.0000 0.2099 0.3704
Nb1 Nb 0.5000 0.0000 0.3309
Nb2 Nb 0.5000 0.1236 0.7043
Ru1 Ru 0.0000 0.0000 0.5807
Ru2 Ru 0.5000 0.1667 0.0805
```

(2)
For Ac5Dy2, the GGA-PBE geometry in Alexandria gives the computed XRD peak list in this record (Cu Kα (λ = 1.5418 Å)).

Peak list (10 most intense, 10° ≤ 2θ ≤ 90°, by angle)
(1 1 1), d 3.412, 2θ = 26.1°, intensity 55; (1 1 -2), d 3.222, 2θ = 27.7°, intensity 24; (4 0 -1), d 3.152, 2θ = 28.3°, intensity 60; (2 0 3), d 3.048, 2θ = 29.3°, intensity 100; (2 0 -4), d 3.030, 2θ = 29.5°, intensity 63; (1 1 2), d 3.021, 2θ = 29.6°, intensity 67; (1 1 -3), d 2.810, 2θ = 31.8°, intensity 44; (3 1 -2), d 2.705, 2θ = 33.1°, intensity 50; (4 2 -1), d 1.628, 2θ = 56.5°, intensity 35; (2 2 3), d 1.614, 2θ = 57.1°, intensity 32

Structural model:
```
data_Ac5Dy2
_chemical_formula_sum 'Ac10 Dy4'
_cell_length_a 12.6068
_cell_length_b 3.8043
_cell_length_c 12.5198
_cell_angle_alpha 90.00
_cell_angle_beta 104.21
_cell_angle_gamma 90.00
_symmetry_space_group_name_H-M 'C 1 2/m 1'
_symmetry_Int_Tables_number 12
loop_
_symmetry_equiv_pos_as_xyz
'x,y,z'
'-x,-y,-z'
'-x,y,-z'
'x,-y,z'
'x+1/2,y+1/2,z'
'-x+1/2,-y+1/2,-z'
'-x+1/2,y+1/2,-z'
'x+1/2,-y+1/2,z'
loop_
_atom_site_label
_atom_site_type_symbol
_atom_site_fract_x
_atom_site_fract_y
_atom_site_fract_z
Ac1 Ac 0.0000 0.0000 0.0000
Ac2 Ac 0.0369 0.5000 0.2974
Ac3 Ac 0.2347 0.0000 0.8589
Dy1 Dy 0.1492 0.0000 0.5543
```

Repeat the first record exactly.
For HoNbRu, the GGA-PBE geometry in Alexandria gives the computed XRD peak list in this record (Cu Kα (λ = 1.5418 Å)).

Peak list (10 most intense, 10° ≤ 2θ ≤ 90°, by angle)
(1 0 2), d 2.731, 2θ = 32.8°, intensity 90; (1 4 0), d 2.472, 2θ = 36.3°, intensity 100; (2 0 0), d 2.347, 2θ = 38.3°, intensity 41; (0 5 1), d 2.198, 2θ = 41.1°, intensity 35; (0 3 3), d 1.939, 2θ = 46.9°, intensity 17; (2 5 1), d 1.605, 2θ = 57.4°, intensity 26; (1 5 3), d 1.526, 2θ = 60.7°, intensity 19; (2 3 3), d 1.495, 2θ = 62.1°, intensity 15; (3 4 0), d 1.378, 2θ = 68.0°, intensity 16; (1 1 5), d 1.284, 2θ = 73.8°, intensity 20

Structural model:
```
data_HoNbRu
_chemical_formula_sum 'Ho6 Nb6 Ru6'
_cell_length_a 4.6949
_cell_length_b 11.6264
_cell_length_c 6.7200
_cell_angle_alpha 90.00
_cell_angle_beta 90.00
_cell_angle_gamma 90.00
_symmetry_space_group_name_H-M 'A m m 2'
_symmetry_Int_Tables_number 38
loop_
_symmetry_equiv_pos_as_xyz
'x,y,z'
'-x,-y,z'
'-x,y,z'
'x,-y,z'
'x,y+1/2,z+1/2'
'-x,-y+1/2,z+1/2'
'-x,y+1/2,z+1/2'
'x,-y+1/2,z+1/2'
loop_
_atom_site_label
_atom_site_type_symbol
_atom_site_fract_x
_atom_site_fract_y
_atom_site_fract_z
Ho1 Ho 0.0000 0.0000 0.0000
Ho2 Ho 0.0000 0.2099 0.3704
Nb1 Nb 0.5000 0.0000 0.3309
Nb2 Nb 0.5000 0.1236 0.7043
Ru1 Ru 0.0000 0.0000 0.5807
Ru2 Ru 0.5000 0.1667 0.0805
```